# 1
Y2Fe17C3: simulated PXRD pattern (a wavelength of 1.5418 Å), based on DFT lattice parameters and positions (GGA-PBE).
Lines closer than 0.1° are merged.

Peak list (10 most intense, 2θ = 10–80°, by intensity)
2theta  Rel. int.
42.2  100
41.8  80
47.4  46
40.4  42
43.4  41
36.0  33
29.8  20
76.3  19
61.8  18
78.8  17

```
data_Y2Fe17C3
_chemical_formula_sum 'Y4 Fe34 C6'
_cell_length_a 8.6476
_cell_length_b 8.6476
_cell_length_c 8.3415
_cell_angle_alpha 90.00
_cell_angle_beta 90.00
_cell_angle_gamma 120.00
_symmetry_space_group_name_H-M 'P 1'
_symmetry_Int_Tables_number 1
_symmetry_space_group_name_Hall 'P 1'
loop_
_atom_site_label
_atom_site_type_symbol
_atom_site_fract_x
_atom_site_fract_y
_atom_site_fract_z
_atom_site_occupancy
Y1 Y 0.0000 0.0000 0.2500 1
Y2 Y 0.0000 0.0000 0.7500 1
Y3 Y 0.3333 0.6667 0.2500 1
Y4 Y 0.6667 0.3333 0.7500 1
Fe1 Fe 0.0000 0.5000 0.0000 1
Fe2 Fe 0.0000 0.5000 0.5000 1
Fe3 Fe 0.0522 0.3784 0.7500 1
Fe4 Fe 0.0522 0.6738 0.7500 1
Fe5 Fe 0.1683 0.3366 0.0201 1
Fe6 Fe 0.1683 0.3366 0.4799 1
Fe7 Fe 0.1683 0.8317 0.0201 1
Fe8 Fe 0.1683 0.8317 0.4799 1
Fe9 Fe 0.3262 0.3784 0.7500 1
Fe10 Fe 0.3262 0.9478 0.7500 1
Fe11 Fe 0.3333 0.6667 0.6078 1
Fe12 Fe 0.3333 0.6667 0.8922 1
Fe13 Fe 0.3366 0.1683 0.5201 1
Fe14 Fe 0.3366 0.1683 0.9799 1
Fe15 Fe 0.3784 0.0522 0.2500 1
Fe16 Fe 0.3784 0.3262 0.2500 1
Fe17 Fe 0.5000 0.0000 0.0000 1
Fe18 Fe 0.5000 0.0000 0.5000 1
Fe19 Fe 0.5000 0.5000 0.0000 1
Fe20 Fe 0.5000 0.5000 0.5000 1
Fe21 Fe 0.6216 0.6738 0.7500 1
Fe22 Fe 0.6216 0.9478 0.7500 1
Fe23 Fe 0.6634 0.8317 0.0201 1
Fe24 Fe 0.6634 0.8317 0.4799 1
Fe25 Fe 0.6667 0.3333 0.1078 1
Fe26 Fe 0.6667 0.3333 0.3922 1
Fe27 Fe 0.6738 0.0522 0.2500 1
Fe28 Fe 0.6738 0.6216 0.2500 1
Fe29 Fe 0.8317 0.1683 0.5201 1
Fe30 Fe 0.8317 0.1683 0.9799 1
Fe31 Fe 0.8317 0.6634 0.5201 1
Fe32 Fe 0.8317 0.6634 0.9799 1
Fe33 Fe 0.9478 0.3262 0.2500 1
Fe34 Fe 0.9478 0.6216 0.2500 1
C1 C 0.1657 0.3313 0.2500 1
C2 C 0.1657 0.8343 0.2500 1
C3 C 0.3313 0.1657 0.7500 1
C4 C 0.6687 0.8343 0.2500 1
C5 C 0.8343 0.1657 0.7500 1
C6 C 0.8343 0.6687 0.7500 1
```

=====

# 2
Na3Al2P2O8F3: simulated PXRD pattern (a wavelength of 1.5418 Å), based on DFT lattice parameters and positions (GGA-PBE).
Lines closer than 0.1° are merged.

Peak list (10 most intense, 2θ = 10–80°, by intensity)
2theta  Rel. int.
33.3  100
28.5  89
41.2  58
16.8  51
58.9  40
26.3  33
16.5  28
29.2  28
58.3  20
50.8  18

```
data_Na3Al2P2O8F3
_chemical_formula_sum 'Na6 Al4 P4 O16 F6'
_cell_length_a 6.8850
_cell_length_b 6.8850
_cell_length_c 8.8569
_cell_angle_alpha 90.00
_cell_angle_beta 90.00
_cell_angle_gamma 80.29
_symmetry_space_group_name_H-M 'P 1'
_symmetry_Int_Tables_number 1
_symmetry_space_group_name_Hall 'P 1'
loop_
_atom_site_label
_atom_site_type_symbol
_atom_site_fract_x
_atom_site_fract_y
_atom_site_fract_z
_atom_site_occupancy
Na1 Na 0.0254 0.9746 0.5000 1
Na2 Na 0.2612 0.7388 0.7327 1
Na3 Na 0.3887 0.6113 0.3665 1
Na4 Na 0.6113 0.3887 0.8665 1
Na5 Na 0.7388 0.2612 0.2327 1
Na6 Na 0.9746 0.0254 0.0000 1
Al1 Al 0.0739 0.5661 0.0153 1
Al2 Al 0.4339 0.9261 0.0153 1
Al3 Al 0.5661 0.0739 0.5153 1
Al4 Al 0.9261 0.4339 0.5153 1
P1 P 0.2476 0.2489 0.7592 1
P2 P 0.2489 0.2476 0.2592 1
P3 P 0.7511 0.7524 0.7592 1
P4 P 0.7524 0.7511 0.2592 1
O1 O 0.0608 0.2618 0.3590 1
O2 O 0.0647 0.2579 0.6586 1
O3 O 0.2366 0.4365 0.8593 1
O4 O 0.2418 0.4369 0.1650 1
O5 O 0.2579 0.0647 0.1586 1
O6 O 0.2618 0.0608 0.8590 1
O7 O 0.4365 0.2366 0.3593 1
O8 O 0.4369 0.2418 0.6650 1
O9 O 0.5631 0.7582 0.1650 1
O10 O 0.5635 0.7634 0.8593 1
O11 O 0.7382 0.9392 0.3590 1
O12 O 0.7421 0.9353 0.6586 1
O13 O 0.7582 0.5631 0.6650 1
O14 O 0.7634 0.5635 0.3593 1
O15 O 0.9353 0.7421 0.1586 1
O16 O 0.9392 0.7382 0.8590 1
F1 F 0.0988 0.6120 0.5153 1
F2 F 0.2502 0.7498 0.0069 1
F3 F 0.3880 0.9012 0.5153 1
F4 F 0.6120 0.0988 0.0153 1
F5 F 0.7498 0.2502 0.5069 1
F6 F 0.9012 0.3880 0.0153 1
```